Entry 1:
Structure and computed powder diffraction line list of Na3Hg (a cell relaxed with PBE; Cu Kα).
Neutral-atom scattering factors, no anomalous dispersion.

Principal peaks in the range 2θ = 10–90°, by angle:
| 2θ/deg | d [Å] | Rel. int. | index |
| --- | --- | --- | --- |
| 19.8 | 4.475 | 91 | 1 1 1 |
| 22.9 | 3.876 | 49 | 2 0 0 |
| 32.7 | 2.741 | 100 | 2 2 0 |
| 38.5 | 2.337 | 53 | 3 1 1 |
| 46.9 | 1.938 | 18 | 4 0 0 |
| 51.4 | 1.778 | 24 | 3 3 1 |
| 52.8 | 1.733 | 22 | 4 2 0 |
| 58.3 | 1.582 | 38 | 4 2 2 |
| 62.2 | 1.492 | 18 | 5 1 1 |
| 72.1 | 1.310 | 18 | 5 3 1 |

Cell and atoms:
```
data_Na3Hg
_chemical_formula_sum 'Na12 Hg4'
_cell_length_a 7.7517
_cell_length_b 7.7517
_cell_length_c 7.7517
_cell_angle_alpha 90.00
_cell_angle_beta 90.00
_cell_angle_gamma 90.00
_space_group_name_H-M_alt 'F m -3 m'
_space_group_IT_number 225
_space_group_name_Hall '-F 4 2 3'
loop_
_atom_site_label
_atom_site_type_symbol
_atom_site_fract_x
_atom_site_fract_y
_atom_site_fract_z
Na1 Na 0.0000 0.0000 0.0000
Na2 Na 0.2500 0.2500 0.2500
Hg1 Hg 0.0000 0.0000 0.5000
```

---

Entry 2:
Structure and computed powder diffraction line list of Eu2TiO5 (a cell relaxed with PBE; Cu Kα).
Neutral-atom scattering factors, no anomalous dispersion.

Principal peaks in the range 2θ = 10–90°, by angle:
| 2θ/deg | d [Å] | Rel. int. | index |
| --- | --- | --- | --- |
| 11.3 | 7.833 | 23 | 1 0 1 |
| 24.7 | 3.608 | 26 | 1 0 3 |
| 28.7 | 3.115 | 77 | 2 0 3 |
| 28.8 | 3.099 | 100 | 2 1 0 |
| 29.4 | 3.034 | 19 | 3 0 2 |
| 33.2 | 2.698 | 37 | 0 1 3 |
| 34.3 | 2.614 | 19 | 3 0 3 |
| 47.9 | 1.900 | 59 | 0 2 0 |
| 54.3 | 1.689 | 17 | 1 1 6 |
| 56.7 | 1.622 | 22 | 2 2 3 |

Cell and atoms:
```
data_Eu2TiO5
_chemical_formula_sum 'Eu8 Ti4 O20'
_cell_length_a 10.7031
_cell_length_b 3.8007
_cell_length_c 11.4947
_cell_angle_alpha 90.00
_cell_angle_beta 90.00
_cell_angle_gamma 90.00
_space_group_name_H-M_alt 'P n m a'
_space_group_IT_number 62
loop_
_space_group_symop_operation_xyz
'x,y,z'
'-x,-y,-z'
'-x+1/2,-y,z+1/2'
'x+1/2,y,-z+1/2'
'x+1/2,-y+1/2,-z+1/2'
'-x+1/2,y+1/2,z+1/2'
'-x,y+1/2,-z'
'x,-y+1/2,z'
loop_
_atom_site_label
_atom_site_type_symbol
_atom_site_fract_x
_atom_site_fract_y
_atom_site_fract_z
Eu1 Eu 0.1080 0.2500 0.2198
Eu2 Eu 0.1361 0.2500 0.5605
Ti1 Ti 0.1803 0.2500 0.8769
O1 O 0.0068 0.7500 0.6029
O2 O 0.0188 0.2500 0.8414
O3 O 0.2266 0.2500 0.0401
O4 O 0.2323 0.7500 0.8824
O5 O 0.2365 0.7500 0.2309
```

---

Entry 3:
Structure and computed powder diffraction line list of SmFe10Si2 (a cell relaxed with PBE; Cu Kα).
Neutral-atom scattering factors, no anomalous dispersion.

Principal peaks in the range 2θ = 10–90°, by angle:
| 2θ/deg | d [Å] | Rel. int. | index |
| --- | --- | --- | --- |
| 30.3 | 2.945 | 18 | 1 1 3 |
| 30.6 | 2.925 | 18 | 1 3 1 |
| 34.0 | 2.635 | 14 | 0 2 4 |
| 37.5 | 2.397 | 67 | 2 0 0 |
| 43.4 | 2.086 | 47 | 1 1 5 |
| 43.6 | 2.075 | 100 | 0 4 4 |
| 43.8 | 2.065 | 48 | 1 5 1 |
| 48.9 | 1.861 | 13 | 2 0 4 |
| 49.2 | 1.851 | 13 | 2 4 0 |
| 80.1 | 1.198 | 21 | 4 0 0 |

Cell and atoms:
```
data_SmFe10Si2
_chemical_formula_sum 'Sm4 Fe40 Si8'
_cell_length_a 4.7944
_cell_length_b 11.6603
_cell_length_c 11.8176
_cell_angle_alpha 90.00
_cell_angle_beta 90.00
_cell_angle_gamma 90.00
_space_group_name_H-M_alt 'F m m m'
_space_group_IT_number 69
_space_group_name_Hall '-F 2 2'
loop_
_atom_site_label
_atom_site_type_symbol
_atom_site_fract_x
_atom_site_fract_y
_atom_site_fract_z
Sm1 Sm 0.0000 0.0000 0.0000
Fe1 Fe 0.0000 0.1136 0.3874
Fe2 Fe 0.0000 0.1821 0.1779
Fe3 Fe 0.2500 0.0000 0.2500
Si1 Si 0.2500 0.2500 0.0000
```